Structure and calculated PXRD pattern of LiMg6Zr (a DFT-relaxed cell (PBE, the Materials Project); Cu Kα).
Lines closer than 0.1° are merged.

The 10 most intense peaks (10° ≤ 2θ ≤ 80°), by angle:
2θ = 15.90°, I = 66
2θ = 23.84°, I = 51
2θ = 27.96°, I = 17
2θ = 32.12°, I = 26
2θ = 33.26°, I = 21
2θ = 35.72°, I = 36
2θ = 36.88°, I = 100
2θ = 37.25°, I = 48
2θ = 64.93°, I = 18
2θ = 69.82°, I = 19

Cell and atoms:
a = 5.0275 Å, b = 6.3823 Å, c = 6.3823 Å
α = 60.84°, β = 90.00°, γ = 90.00°
Element x y z (fractional)
Li  0.0000  0.0000  0.0000
Mg  0.0000  0.0009  0.4920
Mg  0.0000  0.4920  0.0009
Mg  0.5000  0.3294  0.8293
Mg  0.5000  0.3333  0.3333
Mg  0.5000  0.8293  0.3294
Mg  0.5000  0.8331  0.8331
Zr  0.0000  0.4992  0.4992